Record 1
Starting from a cell relaxed with PBE, the XRD peak list of LiTa2Mo was simulated for Cu Kα, 1.54184 Å.
Neutral-atom scattering factors, no anomalous dispersion.

Cell and atoms:
Lattice parameters (Å, degrees): 2.662 4.597 5.600 90.00 90.00 90.00
Positions (direct):
Li: 0.000 0.000 0.000
Ta: 0.000 0.000 0.495
Ta: 0.500 0.500 0.749
Mo: 0.500 0.500 0.260

Most intense lines, 15° ≤ 2θ ≤ 90°, in order of rising 2θ:
| two_theta | I_rel |
| --- | --- |
| 15.83 | 55 |
| 25.06 | 35 |
| 37.40 | 13 |
| 37.62 | 74 |
| 39.13 | 100 |
| 42.45 | 29 |
| 47.10 | 39 |
| 62.89 | 36 |
| 80.26 | 25 |
| 83.03 | 15 |

=====

Record 2
Starting from a cell relaxed with PBE, the XRD peak list of YHo5Sb4 was simulated for Cu Kα, 1.54184 Å.
Neutral-atom scattering factors, no anomalous dispersion.

Cell and atoms:
Lattice parameters (Å, degrees): 9.534 9.534 8.387 105.49 105.49 26.02
Positions (direct):
Y: 0.000 0.000 0.000
Ho: 0.000 0.000 0.500
Ho: 0.321 0.321 0.650
Ho: 0.337 0.337 0.179
Ho: 0.663 0.663 0.821
Ho: 0.679 0.679 0.350
Sb: 0.170 0.170 0.087
Sb: 0.491 0.491 0.741
Sb: 0.509 0.509 0.259
Sb: 0.830 0.830 0.913

Most intense lines, 15° ≤ 2θ ≤ 90°, in order of rising 2θ:
| two_theta | I_rel |
| --- | --- |
| 25.58 | 13 |
| 29.81 | 100 |
| 30.01 | 46 |
| 41.99 | 38 |
| 42.11 | 20 |
| 43.20 | 18 |
| 43.61 | 31 |
| 52.57 | 19 |
| 61.91 | 13 |
| 69.45 | 16 |

=====

Record 3
Starting from a cell relaxed with PBE, the XRD peak list of Mn3Se4I2 was simulated for Cu Kα, 1.54184 Å.
Neutral-atom scattering factors, no anomalous dispersion.

Cell and atoms:
Lattice parameters (Å, degrees): 3.711 3.711 20.310 90.00 90.00 120.00
Positions (direct):
Mn: 0.000 0.000 0.000
Mn: 0.333 0.667 0.346
Mn: 0.333 0.667 0.654
Se: 0.000 0.000 0.276
Se: 0.000 0.000 0.417
Se: 0.000 0.000 0.583
Se: 0.000 0.000 0.724
I: 0.333 0.667 0.093
I: 0.333 0.667 0.907

Most intense lines, 15° ≤ 2θ ≤ 90°, in order of rising 2θ:
| two_theta | I_rel |
| --- | --- |
| 26.33 | 25 |
| 27.76 | 82 |
| 28.11 | 56 |
| 32.98 | 80 |
| 35.62 | 57 |
| 41.95 | 100 |
| 49.10 | 66 |
| 49.35 | 24 |
| 66.52 | 28 |
| 86.95 | 28 |

=====

Record 4
Starting from a cell relaxed with PBE, the XRD peak list of Cs8NaAu5 was simulated for Cu Kα, 1.54184 Å.
Neutral-atom scattering factors, no anomalous dispersion.

Cell and atoms:
Lattice parameters (Å, degrees): 13.270 13.270 12.759 103.37 103.37 22.70
Positions (direct):
Cs: 0.000 0.000 0.000
Cs: 0.195 0.195 0.691
Cs: 0.263 0.263 0.351
Cs: 0.342 0.342 0.034
Cs: 0.509 0.509 0.649
Cs: 0.589 0.589 0.331
Cs: 0.657 0.657 0.991
Cs: 0.851 0.851 0.682
Na: 0.926 0.926 0.341
Au: 0.083 0.083 0.812
Au: 0.132 0.132 0.174
Au: 0.426 0.426 0.841
Au: 0.719 0.719 0.508
Au: 0.768 0.768 0.870

Most intense lines, 15° ≤ 2θ ≤ 90°, in order of rising 2θ:
| two_theta | I_rel |
| --- | --- |
| 22.07 | 100 |
| 22.54 | 43 |
| 23.13 | 39 |
| 26.10 | 50 |
| 27.60 | 66 |
| 28.27 | 30 |
| 31.35 | 44 |
| 33.13 | 29 |
| 34.34 | 49 |
| 35.49 | 91 |

=====

Record 5
Starting from a cell relaxed with PBE, the XRD peak list of PaAgPN was simulated for Cu Kα, 1.54184 Å.
Neutral-atom scattering factors, no anomalous dispersion.

Cell and atoms:
Lattice parameters (Å, degrees): 10.423 10.423 10.423 22.01 22.01 22.01
Positions (direct):
Pa: 0.119 0.119 0.119
Pa: 0.881 0.881 0.881
Ag: 0.304 0.304 0.304
Ag: 0.696 0.696 0.696
P: 0.397 0.397 0.397
P: 0.603 0.603 0.603
N: 0.193 0.193 0.193
N: 0.807 0.807 0.807

Most intense lines, 15° ≤ 2θ ≤ 90°, in order of rising 2θ:
| two_theta | I_rel |
| --- | --- |
| 26.02 | 25 |
| 26.30 | 19 |
| 28.42 | 89 |
| 29.77 | 100 |
| 33.14 | 42 |
| 35.31 | 25 |
| 39.45 | 39 |
| 45.59 | 71 |
| 55.05 | 19 |
| 58.95 | 34 |

=====

Record 6
Starting from a cell relaxed with PBE, the XRD peak list of Mg5AlPd4 was simulated for Cu Kα, 1.54184 Å.
Neutral-atom scattering factors, no anomalous dispersion.

Cell and atoms:
Lattice parameters (Å, degrees): 3.023 3.023 18.381 90.00 90.00 90.00
Positions (direct):
Mg: 0.000 0.000 0.000
Mg: 0.000 0.000 0.190
Mg: 0.000 0.000 0.380
Mg: 0.000 0.000 0.620
Mg: 0.000 0.000 0.810
Al: 0.500 0.500 0.500
Pd: 0.500 0.500 0.095
Pd: 0.500 0.500 0.287
Pd: 0.500 0.500 0.713
Pd: 0.500 0.500 0.905

Most intense lines, 15° ≤ 2θ ≤ 90°, in order of rising 2θ:
| two_theta | I_rel |
| --- | --- |
| 24.21 | 29 |
| 29.55 | 37 |
| 38.56 | 100 |
| 41.99 | 17 |
| 42.28 | 43 |
| 49.31 | 16 |
| 49.59 | 8 |
| 61.33 | 14 |
| 67.16 | 13 |
| 74.82 | 27 |

=====

Record 7
Starting from a cell relaxed with PBE, the XRD peak list of SmTh2Te2S2 was simulated for Cu Kα, 1.54184 Å.
Neutral-atom scattering factors, no anomalous dispersion.

Cell and atoms:
Lattice parameters (Å, degrees): 5.109 5.109 16.026 90.00 90.00 90.00
Positions (direct):
Sm: 0.000 0.000 0.000
Sm: 0.500 0.500 0.500
Th: 0.000 0.000 0.390
Th: 0.000 0.000 0.610
Th: 0.500 0.500 0.110
Th: 0.500 0.500 0.890
Te: 0.000 0.000 0.190
Te: 0.000 0.000 0.810
Te: 0.500 0.500 0.310
Te: 0.500 0.500 0.690
S: 0.000 0.500 0.000
S: 0.000 0.500 0.500
S: 0.500 0.000 0.000
S: 0.500 0.000 0.500

Most intense lines, 15° ≤ 2θ ≤ 90°, in order of rising 2θ:
| two_theta | I_rel |
| --- | --- |
| 24.64 | 96 |
| 32.99 | 100 |
| 33.40 | 15 |
| 35.13 | 53 |
| 48.96 | 67 |
| 50.53 | 19 |
| 57.00 | 20 |
| 61.68 | 17 |
| 73.00 | 21 |
| 83.67 | 15 |

=====

Record 8
Starting from a cell relaxed with PBE, the XRD peak list of Li3SiO4 was simulated for Cu Kα, 1.54184 Å.
Neutral-atom scattering factors, no anomalous dispersion.

Cell and atoms:
Lattice parameters (Å, degrees): 5.309 5.309 6.194 90.00 90.00 90.53
Positions (direct):
Li: 0.186 0.814 0.750
Li: 0.325 0.325 0.000
Li: 0.325 0.325 0.500
Li: 0.675 0.675 0.000
Li: 0.675 0.675 0.500
Li: 0.814 0.186 0.250
Si: 0.183 0.817 0.250
Si: 0.817 0.183 0.750
O: 0.127 0.215 0.750
O: 0.215 0.127 0.250
O: 0.304 0.696 0.031
O: 0.304 0.696 0.469
O: 0.696 0.304 0.531
O: 0.696 0.304 0.969
O: 0.785 0.873 0.750
O: 0.873 0.785 0.250

Most intense lines, 15° ≤ 2θ ≤ 90°, in order of rising 2θ:
| two_theta | I_rel |
| --- | --- |
| 16.70 | 17 |
| 22.05 | 100 |
| 23.82 | 37 |
| 27.69 | 26 |
| 33.50 | 58 |
| 33.77 | 72 |
| 48.19 | 19 |
| 54.84 | 11 |
| 60.23 | 35 |
| 70.58 | 11 |

=====

Record 9
Starting from a cell relaxed with PBE, the XRD peak list of PmMn5P3 was simulated for Cu Kα, 1.54184 Å.
Neutral-atom scattering factors, no anomalous dispersion.

Cell and atoms:
Lattice parameters (Å, degrees): 6.254 6.254 11.000 90.00 90.00 145.01
Positions (direct):
Pm: 0.168 0.832 0.750
Pm: 0.832 0.168 0.250
Mn: 0.000 0.000 0.000
Mn: 0.000 0.000 0.500
Mn: 0.192 0.808 0.060
Mn: 0.192 0.808 0.440
Mn: 0.450 0.550 0.648
Mn: 0.450 0.550 0.852
Mn: 0.550 0.450 0.148
Mn: 0.550 0.450 0.352
Mn: 0.808 0.192 0.560
Mn: 0.808 0.192 0.940
P: 0.113 0.887 0.250
P: 0.378 0.622 0.048
P: 0.378 0.622 0.452
P: 0.622 0.378 0.548
P: 0.622 0.378 0.952
P: 0.887 0.113 0.750

Most intense lines, 15° ≤ 2θ ≤ 90°, in order of rising 2θ:
| two_theta | I_rel |
| --- | --- |
| 26.13 | 29 |
| 28.58 | 32 |
| 31.07 | 45 |
| 32.78 | 64 |
| 35.00 | 100 |
| 36.73 | 69 |
| 38.93 | 31 |
| 41.37 | 64 |
| 45.00 | 33 |
| 48.41 | 51 |

=====

Record 10
Starting from a cell relaxed with PBE, the XRD peak list of SrCd12Cu4 was simulated for Cu Kα, 1.54184 Å.
Neutral-atom scattering factors, no anomalous dispersion.

Cell and atoms:
Lattice parameters (Å, degrees): 8.133 8.133 8.133 109.47 109.47 109.47
Positions (direct):
Sr: 0.000 0.000 0.000
Cd: 0.164 0.508 0.344
Cd: 0.164 0.821 0.656
Cd: 0.179 0.344 0.836
Cd: 0.344 0.164 0.508
Cd: 0.344 0.836 0.179
Cd: 0.492 0.656 0.836
Cd: 0.508 0.344 0.164
Cd: 0.656 0.164 0.821
Cd: 0.656 0.836 0.492
Cd: 0.821 0.656 0.164
Cd: 0.836 0.179 0.344
Cd: 0.836 0.492 0.656
Cu: 0.000 0.000 0.500
Cu: 0.000 0.500 0.000
Cu: 0.500 0.000 0.000
Cu: 0.500 0.500 0.500

Most intense lines, 15° ≤ 2θ ≤ 90°, in order of rising 2θ:
| two_theta | I_rel |
| --- | --- |
| 30.09 | 100 |
| 35.77 | 39 |
| 43.07 | 19 |
| 45.29 | 8 |
| 47.42 | 22 |
| 49.49 | 25 |
| 57.19 | 12 |
| 59.01 | 9 |
| 67.66 | 17 |
| 88.30 | 12 |

=====

Record 11
Starting from a cell relaxed with PBE, the XRD peak list of SmY2Pd3 was simulated for Cu Kα, 1.54184 Å.
Neutral-atom scattering factors, no anomalous dispersion.

Cell and atoms:
Lattice parameters (Å, degrees): 5.054 15.188 3.462 90.00 90.00 90.00
Positions (direct):
Sm: 0.250 0.250 0.001
Sm: 0.750 0.750 0.999
Y: 0.250 0.583 0.000
Y: 0.250 0.917 0.000
Y: 0.750 0.083 0.000
Y: 0.750 0.417 0.000
Pd: 0.250 0.079 0.500
Pd: 0.250 0.421 0.500
Pd: 0.250 0.750 0.499
Pd: 0.750 0.250 0.501
Pd: 0.750 0.579 0.500
Pd: 0.750 0.921 0.500

Most intense lines, 15° ≤ 2θ ≤ 90°, in order of rising 2θ:
| two_theta | I_rel |
| --- | --- |
| 35.49 | 52 |
| 36.11 | 100 |
| 51.07 | 18 |
| 52.89 | 8 |
| 64.13 | 36 |
| 65.32 | 17 |
| 76.60 | 11 |
| 85.99 | 4 |
| 86.30 | 8 |
| 89.16 | 8 |

=====

Record 12
Starting from a cell relaxed with PBE, the XRD peak list of Zr4SbP was simulated for Cu Kα, 1.54184 Å.
Neutral-atom scattering factors, no anomalous dispersion.

Cell and atoms:
Lattice parameters (Å, degrees): 7.334 7.334 5.499 101.20 101.20 114.71
Positions (direct):
Zr: 0.081 0.718 0.936
Zr: 0.203 0.371 0.644
Zr: 0.282 0.919 0.564
Zr: 0.371 0.203 0.144
Zr: 0.629 0.797 0.856
Zr: 0.718 0.081 0.436
Zr: 0.797 0.629 0.356
Zr: 0.919 0.282 0.064
Sb: 0.380 0.620 0.250
Sb: 0.620 0.380 0.750
P: 0.006 0.994 0.250
P: 0.994 0.006 0.750

Most intense lines, 15° ≤ 2θ ≤ 90°, in order of rising 2θ:
| two_theta | I_rel |
| --- | --- |
| 28.91 | 23 |
| 32.83 | 35 |
| 33.39 | 60 |
| 33.88 | 23 |
| 35.06 | 73 |
| 37.70 | 100 |
| 37.99 | 33 |
| 38.43 | 39 |
| 39.41 | 36 |
| 50.79 | 22 |